No. 1
Structure and calculated powder X-ray diffraction pattern of Os3C9Se2O9 (a cell relaxed with PBE; copper Kα).
Intensities are scaled so that the largest is 100.

Main lines, sorted by position (10° ≤ 2θ ≤ 80°):
2theta, I_rel
12.70, 43.1
13.49, 100.0
14.92, 43.3
15.40, 67.4
16.09, 66.5
16.63, 55.3

Structural model:
Lattice parameters (Å, degrees): 6.6758 9.5038 13.2969 94.27 95.99 110.17
Atoms (fractional coordinates):
Os 0.0660 0.2322 0.3452
Os 0.2181 0.3054 0.1558
Os 0.3926 0.6086 0.2576
Os 0.6074 0.3914 0.7424
Os 0.7819 0.6946 0.8442
Os 0.9340 0.7678 0.6548
C 0.0157 0.8788 0.8898
C 0.0582 0.3080 0.4784
C 0.1368 0.0619 0.3796
C 0.2150 0.4133 0.0415
C 0.2332 0.8869 0.6838
C 0.3086 0.7374 0.1714
C 0.3160 0.3051 0.7668
C 0.4240 0.2266 0.1120
C 0.4298 0.7292 0.3816
C 0.5702 0.2708 0.6184
C 0.5760 0.7734 0.8880
C 0.6840 0.6949 0.2332
C 0.6914 0.2626 0.8286
C 0.7668 0.1131 0.3162
C 0.7850 0.5867 0.9585
C 0.8632 0.9381 0.6204
C 0.9418 0.6920 0.5216
C 0.9843 0.1212 0.1102
Se 0.0013 0.4382 0.2508
Se 0.4530 0.3855 0.3300
Se 0.5470 0.6145 0.6700
Se 0.9987 0.5618 0.7492
O 0.0619 0.3609 0.5607
O 0.1393 0.2471 0.7814
O 0.1560 0.9913 0.9204
O 0.1730 0.9565 0.4018
O 0.2095 0.4770 0.9703
O 0.2592 0.8154 0.1189
O 0.4158 0.9589 0.7018
O 0.4485 0.8203 0.9144
O 0.4554 0.7971 0.4614
O 0.5446 0.2029 0.5386
O 0.5515 0.1797 0.0856
O 0.5842 0.0411 0.2982
O 0.7408 0.1846 0.8811
O 0.7905 0.5230 0.0297
O 0.8270 0.0435 0.5982
O 0.8440 0.0087 0.0796
O 0.8607 0.7529 0.2186
O 0.9381 0.6391 0.4393

No. 2
Structure and calculated powder X-ray diffraction pattern of Li5NbRe (a cell relaxed with PBE; copper Kα).
Intensities are scaled so that the largest is 100.

Main lines, sorted by position (10° ≤ 2θ ≤ 80°):
2theta, I_rel
17.49, 100.0
20.20, 45.5
33.82, 19.8
35.40, 14.2
36.19, 21.9
42.56, 23.4

Structural model:
Lattice parameters (Å, degrees): 4.6780 8.7934 6.2089 90.00 90.00 90.00
Atoms (fractional coordinates):
Li 0.0000 0.0000 0.0000
Li 0.0000 0.2528 0.8942
Li 0.0000 0.7472 0.8942
Li 0.2287 0.5000 0.7822
Li 0.2713 0.0000 0.2822
Li 0.5000 0.2472 0.3942
Li 0.5000 0.5000 0.5000
Li 0.5000 0.7528 0.3942
Li 0.7287 0.0000 0.2822
Li 0.7713 0.5000 0.7822
Nb 0.0000 0.5000 0.2349
Nb 0.5000 0.0000 0.7349
Re 0.0000 0.0000 0.6229
Re 0.5000 0.5000 0.1229

No. 3
Structure and calculated powder X-ray diffraction pattern of Li2ErCuAs2 (a cell relaxed with PBE; copper Kα).
Intensities are scaled so that the largest is 100.

Main lines, sorted by position (10° ≤ 2θ ≤ 80°):
2theta, I_rel
24.57, 33.9
28.16, 54.9
37.04, 100.0
43.24, 52.4
58.22, 26.4
75.22, 24.4

Structural model:
Lattice parameters (Å, degrees): 4.1845 4.1845 6.5367 90.00 90.00 120.00
Atoms (fractional coordinates):
Li 0.3333 0.6667 0.3536
Li 0.6667 0.3333 0.6464
Er 0.0000 0.0000 0.0000
Cu 0.0000 0.0000 0.5000
As 0.3333 0.6667 0.7484
As 0.6667 0.3333 0.2516

No. 4
Structure and calculated powder X-ray diffraction pattern of YCoNiGe2 (a cell relaxed with PBE; copper Kα).
Intensities are scaled so that the largest is 100.

Main lines, sorted by position (10° ≤ 2θ ≤ 80°):
2theta, I_rel
34.93, 99.6
36.38, 100.0
45.19, 79.3
48.45, 33.1
50.90, 29.4
58.36, 43.7

Structural model:
Lattice parameters (Å, degrees): 4.0130 4.0130 10.0283 90.00 90.00 90.00
Atoms (fractional coordinates):
Y 0.0000 0.0000 0.0000
Y 0.5000 0.5000 0.5000
Co 0.0000 0.5000 0.2500
Co 0.5000 0.0000 0.7500
Ni 0.0000 0.5000 0.7500
Ni 0.5000 0.0000 0.2500
Ge 0.0000 0.0000 0.3728
Ge 0.0000 0.0000 0.6272
Ge 0.5000 0.5000 0.1272
Ge 0.5000 0.5000 0.8728

No. 5
Structure and calculated powder X-ray diffraction pattern of Zr2N2O (a cell relaxed with PBE; copper Kα).
Intensities are scaled so that the largest is 100.

Main lines, sorted by position (10° ≤ 2θ ≤ 80°):
2theta, I_rel
15.98, 100.0
23.22, 43.6
24.06, 55.4
32.05, 59.4
33.91, 53.4
45.33, 41.9

Structural model:
Lattice parameters (Å, degrees): 5.6612 5.6723 6.0425 90.00 113.39 90.00
Atoms (fractional coordinates):
Zr 0.0000 0.0000 0.0000
Zr 0.1305 0.5000 0.2921
Zr 0.5000 0.5000 0.0000
Zr 0.6305 0.0000 0.2921
N 0.3156 0.2496 0.1461
N 0.3156 0.7504 0.1461
N 0.8156 0.2504 0.1461
N 0.8156 0.7496 0.1461
O 0.3124 0.5000 0.6463
O 0.8124 0.0000 0.6463

No. 6
Structure and calculated powder X-ray diffraction pattern of BaAu2S4O16 (a cell relaxed with PBE; copper Kα).
Intensities are scaled so that the largest is 100.

Main lines, sorted by position (10° ≤ 2θ ≤ 80°):
2theta, I_rel
10.60, 100.0
19.50, 67.3
20.39, 35.7
23.94, 63.7
28.40, 81.3
29.07, 91.6

Structural model:
Lattice parameters (Å, degrees): 6.4889 6.4889 8.8870 104.19 104.19 88.76
Atoms (fractional coordinates):
Ba 0.0000 0.0000 0.0000
Au 0.0000 0.0000 0.5000
Au 0.5000 0.5000 0.5000
S 0.0826 0.5818 0.2730
S 0.4182 0.9174 0.7270
S 0.5818 0.0826 0.2730
S 0.9174 0.4182 0.7270
O 0.0088 0.6837 0.1435
O 0.0146 0.3205 0.5846
O 0.0349 0.3561 0.2385
O 0.3163 0.9912 0.8565
O 0.3205 0.0146 0.5846
O 0.3247 0.6312 0.3278
O 0.3561 0.0349 0.2385
O 0.3688 0.6753 0.6722
O 0.6312 0.3247 0.3278
O 0.6439 0.9651 0.7615
O 0.6753 0.3688 0.6722
O 0.6795 0.9854 0.4154
O 0.6837 0.0088 0.1435
O 0.9651 0.6439 0.7615
O 0.9854 0.6795 0.4154
O 0.9912 0.3163 0.8565